No. 1
Calculated powder diffractogram
Compound: SrCd2Au8
Radiation: CuKα
Structure: a crystal structure in Alexandria, relaxed with GGA-PBE

Cell and atoms:
```
SrCd2Au8
1.0
5.520 0.000 0.000
0.000 5.520 0.000
0.000 0.000 9.406
Sr Cd Au
1 2 8
Cartesian
0.000 0.000 0.000
0.000 2.760 4.703
2.760 0.000 4.703
1.391 1.391 2.560
1.391 1.391 6.846
1.391 4.129 2.560
1.391 4.129 6.846
4.129 1.391 2.560
4.129 1.391 6.846
4.129 4.129 2.560
4.129 4.129 6.846
```

Main lines, sorted by position (5° ≤ 2θ ≤ 70°):
d [Å]	two_theta	I_rel
9.406	9.40	244
4.703	18.87	584
2.760	32.44	354
2.380	37.79	1000
2.351	38.28	197
1.952	46.54	297

No. 2
Calculated powder diffractogram
Compound: Tm4ZrN5
Radiation: CuKα
Structure: a crystal structure in Alexandria, relaxed with GGA-PBE

Cell and atoms:
```
Tm4ZrN5
1.0
-3.760 3.760 2.381
3.760 -3.760 2.381
3.760 3.760 -2.381
Tm Zr N
4 1 5
Cartesian
5.267 0.753 0.000
0.753 2.254 0.000
3.008 1.506 2.381
-1.506 3.008 2.381
0.000 0.000 2.381
0.000 0.000 0.000
3.030 1.565 0.000
2.195 -0.731 2.381
1.565 4.491 0.000
0.731 2.195 2.381
```

Main lines, sorted by position (5° ≤ 2θ ≤ 70°):
d [Å]	two_theta	I_rel
4.024	22.09	28
2.747	32.59	1000
2.379	37.81	713
1.682	54.55	484
1.435	65.00	435
1.374	68.28	161

No. 3
Calculated powder diffractogram
Compound: Rb2P4Pd5
Radiation: CuKα
Structure: a crystal structure in Alexandria, relaxed with GGA-PBE

Cell and atoms:
```
Rb2P4Pd5
1.0
5.276 -3.456 0.000
5.276 3.456 0.000
-4.190 0.000 6.485
Rb P Pd
2 4 5
Cartesian
-0.650 0.000 2.406
7.011 0.000 4.079
2.370 0.000 1.009
1.520 0.000 5.072
4.841 0.000 1.413
3.991 0.000 5.476
-0.310 1.389 6.044
6.672 1.389 0.442
3.181 0.000 3.243
-0.310 -1.389 6.044
6.672 -1.389 0.442
```

Main lines, sorted by position (5° ≤ 2θ ≤ 70°):
d [Å]	two_theta	I_rel
6.485	13.65	593
3.050	29.28	1000
2.982	29.97	753
2.288	39.38	373
2.060	43.95	384
1.810	50.41	350

No. 4
Calculated powder diffractogram
Compound: Pr4Sm3Ho8
Radiation: CuKα
Structure: a crystal structure in Alexandria, relaxed with GGA-PBE

Cell and atoms:
```
Pr4Sm3Ho8
1.0
3.501 2.022 11.895
-3.501 2.022 11.895
0.000 -4.043 11.895
Pr Sm Ho
4 3 8
Cartesian
0.000 0.000 0.000
0.000 0.000 5.837
0.000 0.000 17.843
0.000 0.000 29.849
-1.751 -1.011 11.895
-1.751 1.011 23.791
0.000 2.022 11.895
0.000 -2.014 14.846
-1.744 1.007 14.846
-1.744 -1.007 20.841
0.000 0.000 9.093
0.000 0.000 26.594
1.744 1.007 14.846
1.744 -1.007 20.841
0.000 2.014 20.841
```

Main lines, sorted by position (5° ≤ 2θ ≤ 70°):
d [Å]	two_theta	I_rel
2.974	30.05	548
2.871	31.15	1000
2.508	35.81	728
1.797	50.82	237
1.751	52.25	361
1.509	61.46	452

No. 5
Calculated powder diffractogram
Compound: KMg6AlO8
Radiation: CuKα
Structure: a crystal structure in Alexandria, relaxed with GGA-PBE

Cell and atoms:
```
KMg6AlO8
1.0
4.478 0.000 0.000
0.000 4.478 0.000
0.000 0.000 8.446
K Mg Al O
1 6 1 8
Cartesian
0.000 0.000 0.000
0.000 2.239 2.076
0.000 2.239 6.370
2.239 0.000 2.076
2.239 0.000 6.370
2.239 2.239 0.000
2.239 2.239 4.223
0.000 0.000 4.223
0.000 0.000 2.461
0.000 0.000 5.986
0.000 2.239 0.000
0.000 2.239 4.223
2.239 0.000 0.000
2.239 0.000 4.223
2.239 2.239 2.141
2.239 2.239 6.305
```

Main lines, sorted by position (5° ≤ 2θ ≤ 70°):
d [Å]	two_theta	I_rel
2.533	35.43	205
2.239	40.28	1000
2.112	42.83	373
2.104	42.99	27
1.583	58.28	288
1.536	60.25	469

No. 6
Calculated powder diffractogram
Compound: Ho4SbRh2
Radiation: CuKα
Structure: a crystal structure in Alexandria, relaxed with GGA-PBE

Cell and atoms:
```
Ho4SbRh2
1.0
7.173 0.000 0.000
-1.915 6.914 0.000
-2.626 -3.453 6.915
Ho Sb Rh
8 2 4
Cartesian
0.000 0.000 0.000
-2.993 5.011 3.451
-1.061 1.841 2.624
0.592 5.010 1.301
0.023 1.016 5.594
0.976 -2.439 6.078
2.522 1.843 2.134
3.591 0.002 4.755
1.261 3.773 4.108
4.851 3.767 0.647
-2.480 2.492 5.069
-1.524 -0.963 6.605
1.028 -0.177 3.148
4.607 -0.171 1.616
```

Main lines, sorted by position (5° ≤ 2θ ≤ 70°):
d [Å]	two_theta	I_rel
2.957	30.22	272
2.781	32.19	1000
2.751	32.55	882
2.639	33.97	494
2.568	34.94	691
2.255	39.98	287

No. 7
Calculated powder diffractogram
Compound: NaAlGaAg3
Radiation: CuKα
Structure: a crystal structure in Alexandria, relaxed with GGA-PBE

Cell and atoms:
```
NaAlGaAg3
1.0
3.493 -6.392 0.000
3.493 6.392 0.000
0.000 0.000 5.670
Na Al Ga Ag
2 2 2 6
Cartesian
3.493 3.814 4.253
3.493 -3.814 1.418
3.493 0.840 4.253
3.493 -0.840 1.418
3.493 4.532 1.418
3.493 -4.532 4.253
1.424 0.000 0.000
1.424 0.000 2.835
3.493 1.908 1.418
3.493 -1.908 4.253
5.562 0.000 0.000
5.562 0.000 2.835
```

Main lines, sorted by position (5° ≤ 2θ ≤ 70°):
d [Å]	two_theta	I_rel
6.392	13.86	1000
4.163	21.35	655
3.065	29.14	754
2.358	38.17	639
2.201	41.00	822
2.121	42.62	676

No. 8
Calculated powder diffractogram
Compound: PrSm3Pb5
Radiation: CuKα
Structure: a crystal structure in Alexandria, relaxed with GGA-PBE

Cell and atoms:
```
PrSm3Pb5
1.0
9.778 0.000 0.000
-4.889 8.468 0.000
0.000 0.000 6.575
Pr Sm Pb
2 6 10
Cartesian
0.000 0.000 0.000
0.000 0.000 3.287
-1.846 3.198 1.644
-3.043 5.270 4.931
3.693 0.000 1.644
1.846 3.198 4.931
6.086 0.000 4.931
3.043 5.270 1.644
-1.445 2.503 4.931
-3.444 5.965 1.644
2.891 0.000 4.931
1.445 2.503 1.644
0.000 5.645 0.000
0.000 5.645 3.287
4.889 2.823 0.000
4.889 2.823 3.287
6.888 0.000 1.644
3.444 5.965 4.931
```

Main lines, sorted by position (5° ≤ 2θ ≤ 70°):
d [Å]	two_theta	I_rel
2.878	31.08	295
2.823	31.70	998
2.728	32.83	1000
1.962	46.28	321
1.611	57.19	289
1.420	65.74	254

No. 9
Calculated powder diffractogram
Compound: Ce4Tl5Au2
Radiation: CuKα
Structure: a crystal structure in Alexandria, relaxed with GGA-PBE

Cell and atoms:
```
Ce4Tl5Au2
1.0
8.281 0.000 0.000
0.000 3.429 0.000
-0.870 0.000 10.486
Ce Tl Au
4 5 2
Cartesian
1.085 0.000 3.883
1.254 0.000 9.904
6.156 0.000 0.583
6.326 0.000 6.603
0.952 1.715 6.888
3.552 1.715 2.014
3.705 1.715 5.243
3.859 1.715 8.473
6.459 1.715 3.598
0.400 1.715 1.401
7.011 1.715 9.085
```

Main lines, sorted by position (5° ≤ 2θ ≤ 70°):
d [Å]	two_theta	I_rel
2.750	32.56	698
2.716	32.97	467
2.673	33.52	466
2.637	33.99	410
2.563	35.02	1000
2.525	35.55	401

No. 10
Calculated powder diffractogram
Compound: Ho2ThTaC4
Radiation: CuKα
Structure: a crystal structure in Alexandria, relaxed with GGA-PBE

Cell and atoms:
```
Ho2ThTaC4
1.0
-3.482 3.527 4.969
3.482 -3.527 4.969
3.482 3.527 -4.969
Ho Th Ta C
4 2 2 8
Cartesian
0.000 0.000 0.000
-1.741 1.763 2.484
0.000 3.527 0.000
1.741 1.763 2.484
3.482 0.000 0.000
0.000 0.000 4.969
1.741 1.763 -2.484
1.741 -1.763 2.484
3.482 3.357 -2.509
1.730 1.763 -0.222
1.752 -1.763 4.747
3.482 -0.169 2.509
0.000 3.696 2.460
1.730 5.290 0.222
1.752 1.763 5.191
0.000 0.169 7.478
```

Main lines, sorted by position (5° ≤ 2θ ≤ 70°):
d [Å]	two_theta	I_rel
2.876	31.10	793
2.852	31.37	773
2.480	36.22	1000
1.754	52.13	466
1.500	61.87	358
1.489	62.34	231

No. 11
Calculated powder diffractogram
Compound: Ac3Cd7Ag2
Radiation: CuKα
Structure: a crystal structure in Alexandria, relaxed with GGA-PBE

Cell and atoms:
```
Ac3Cd7Ag2
1.0
3.068 1.772 9.742
-3.068 1.772 9.742
0.000 -3.543 9.742
Ac Cd Ag
3 7 2
Cartesian
0.000 0.000 0.000
0.000 0.000 4.170
0.000 0.000 25.057
-1.553 -0.897 12.086
0.000 -1.793 17.141
-1.553 0.897 17.141
0.000 0.000 14.614
1.553 -0.897 12.086
0.000 1.793 12.086
1.553 0.897 17.141
0.000 0.000 9.779
0.000 0.000 19.449
```

Main lines, sorted by position (5° ≤ 2θ ≤ 70°):
d [Å]	two_theta	I_rel
3.283	27.16	326
3.068	29.10	412
3.011	29.67	293
2.646	33.87	354
2.596	34.55	1000
1.665	55.17	258

No. 12
Calculated powder diffractogram
Compound: NiCl6
Radiation: CuKα
Structure: a crystal structure in Alexandria, relaxed with GGA-PBE

Cell and atoms:
```
NiCl6
1.0
3.700 -5.083 0.000
3.700 5.083 0.000
0.000 0.000 7.328
Ni Cl
1 6
Cartesian
0.000 0.000 0.000
0.000 0.000 2.194
0.000 0.000 5.134
1.878 1.316 0.000
1.878 -1.316 0.000
5.523 1.316 0.000
5.523 -1.316 0.000
```

Main lines, sorted by position (5° ≤ 2θ ≤ 70°):
d [Å]	two_theta	I_rel
7.328	12.08	1000
5.983	14.81	642
5.083	17.45	200
3.081	28.98	128
2.992	29.87	127
2.095	43.18	152